Ba2CdSb2O6: theoretical XRD peak list (a wavelength of 1.5418 Å), based on a DFT-relaxed cell (GGA-PBE, Alexandria).
Lines closer than 0.1° are merged.

Cell and atoms:
a b c (Å): 7.0782 7.0782 7.0782
angles (deg): 54.22 54.22 54.22
Element x y z (fractional)
1 Ba 0.2051 0.2051 0.2051
2 Ba 0.7949 0.7949 0.7949
3 Cd 0.0000 0.0000 0.0000
4 Sb 0.4218 0.4218 0.4218
5 Sb 0.5782 0.5782 0.5782
6 O 0.2165 0.7577 0.7577
7 O 0.2423 0.2423 0.7835
8 O 0.2423 0.7835 0.2423
9 O 0.7577 0.2165 0.7577
10 O 0.7577 0.7577 0.2165
11 O 0.7835 0.2423 0.2423

Main lines, by angle (10° ≤ 2θ ≤ 80°):
2θ (°)	I_rel
27.66	100.0
29.45	73.0
40.84	33.8
48.91	20.5
50.04	36.7
57.11	17.9